[1]
Structure and calculated powder diffractogram of YHoBi2O6 (DFT lattice parameters and positions (GGA-PBE); Cu Kα X-rays).
No peak broadening, texture or thermal motion is included.

Largest 6 diffraction maxima, sorted by position, 2θ from 10° to 90°:
d (Å)	I/Imax
4.304	32
3.078	92
3.009	100
2.152	40
1.942	35
1.750	41

Structure:
Cell lengths 6.1595, 6.1595, 6.1595 Å; angles 58.49, 58.49, 58.49 degrees
Atoms (fractional coordinates):
Y (0.0000, 0.0000, 0.0000)
Ho (0.4994, 0.4994, 0.4994)
Bi (0.2862, 0.2862, 0.2862)
Bi (0.7864, 0.7864, 0.7864)
O (0.1320, 0.6852, 0.3579)
O (0.1877, 0.6306, 0.8554)
O (0.3579, 0.1320, 0.6852)
O (0.6306, 0.8554, 0.1877)
O (0.6852, 0.3579, 0.1320)
O (0.8554, 0.1877, 0.6306)

=====

[2]
Structure and calculated powder diffractogram of YHoBiO2 (DFT lattice parameters and positions (GGA-PBE); Cu Kα X-rays).
No peak broadening, texture or thermal motion is included.

Largest 6 diffraction maxima, sorted by position, 2θ from 10° to 90°:
d (Å)	I/Imax
2.947	100
2.748	36
1.943	17
1.746	25
1.622	35
1.139	11

Structure:
Cell lengths 7.3176, 7.3176, 7.3176 Å; angles 149.21, 149.21, 44.11 degrees
Atoms (fractional coordinates):
Y (0.0000, 0.0000, 0.0000)
Ho (0.6627, 0.6627, 0.0000)
Bi (0.3316, 0.3316, 0.0000)
O (0.0830, 0.5830, 0.5000)
O (0.5830, 0.0830, 0.5000)

=====

[3]
Structure and calculated powder diffractogram of Ho8Bi2Os (DFT lattice parameters and positions (GGA-PBE); Cu Kα X-rays).
No peak broadening, texture or thermal motion is included.

Largest 6 diffraction maxima, sorted by position, 2θ from 10° to 90°:
d (Å)	I/Imax
2.995	71
2.774	100
2.595	26
2.500	67
2.413	46
1.422	22

Structure:
Cell lengths 10.0552, 10.0552, 6.7111 Å; angles 105.72, 105.72, 28.80 degrees
Atoms (fractional coordinates):
Ho (0.0184, 0.0184, 0.2887)
Ho (0.2183, 0.2183, 0.8302)
Ho (0.3579, 0.3579, 0.4864)
Ho (0.4124, 0.4124, 0.0440)
Ho (0.5876, 0.5876, 0.9560)
Ho (0.6421, 0.6421, 0.5136)
Ho (0.7817, 0.7817, 0.1698)
Ho (0.9816, 0.9816, 0.7113)
Bi (0.1810, 0.1810, 0.2652)
Bi (0.8190, 0.8190, 0.7348)
Os (0.5000, 0.5000, 0.5000)

=====

[4]
Structure and calculated powder diffractogram of Ho4BiOs (DFT lattice parameters and positions (GGA-PBE); Cu Kα X-rays).
No peak broadening, texture or thermal motion is included.

Largest 6 diffraction maxima, sorted by position, 2θ from 10° to 90°:
d (Å)	I/Imax
6.710	35
2.997	36
2.899	59
2.623	100
2.552	31
2.534	46

Structure:
Cell lengths 8.0671, 8.0671, 6.1569 Å; angles 102.47, 102.47, 112.57 degrees
Atoms (fractional coordinates):
Ho (0.0581, 0.7250, 0.9343)
Ho (0.2035, 0.3444, 0.6477)
Ho (0.2750, 0.9419, 0.5657)
Ho (0.3444, 0.2035, 0.1477)
Ho (0.6556, 0.7965, 0.8523)
Ho (0.7250, 0.0581, 0.4343)
Ho (0.7965, 0.6556, 0.3523)
Ho (0.9419, 0.2750, 0.0657)
Bi (0.3723, 0.6277, 0.2500)
Bi (0.6277, 0.3723, 0.7500)
Os (0.0005, 0.9995, 0.2500)
Os (0.9995, 0.0005, 0.7500)

=====

[5]
Structure and calculated powder diffractogram of Ho4BiP2 (DFT lattice parameters and positions (GGA-PBE); Cu Kα X-rays).
No peak broadening, texture or thermal motion is included.

Largest 6 diffraction maxima, sorted by position, 2θ from 10° to 90°:
d (Å)	I/Imax
3.002	69
2.955	81
2.924	100
2.738	32
2.053	25
1.695	25

Structure:
Cell lengths 6.8825, 6.8825, 13.5031 Å; angles 90.00, 90.00, 145.29 degrees
Atoms (fractional coordinates):
Ho (0.0000, 0.0000, 0.0000)
Ho (0.0000, 0.0000, 0.5000)
Ho (0.2621, 0.7379, 0.6150)
Ho (0.2621, 0.7379, 0.8850)
Ho (0.4317, 0.5683, 0.2500)
Ho (0.5683, 0.4317, 0.7500)
Ho (0.7379, 0.2621, 0.1150)
Ho (0.7379, 0.2621, 0.3850)
Bi (0.1084, 0.8916, 0.2500)
Bi (0.8916, 0.1084, 0.7500)
P (0.3664, 0.6336, 0.0578)
P (0.3664, 0.6336, 0.4422)
P (0.6336, 0.3664, 0.5578)
P (0.6336, 0.3664, 0.9422)

=====

[6]
Structure and calculated powder diffractogram of Ho5Bi2Pb2 (DFT lattice parameters and positions (GGA-PBE); Cu Kα X-rays).
No peak broadening, texture or thermal motion is included.

Largest 6 diffraction maxima, sorted by position, 2θ from 10° to 90°:
d (Å)	I/Imax
3.508	92
3.243	53
3.124	79
2.700	100
2.636	83
2.155	58

Structure:
Cell lengths 10.5874, 10.5874, 10.5874 Å; angles 64.92, 137.22, 133.62 degrees
Atoms (fractional coordinates):
Ho (0.2104, 0.0669, 0.2773)
Ho (0.2104, 0.4331, 0.6435)
Ho (0.2312, 0.5294, 0.0106)
Ho (0.2312, 0.7206, 0.2017)
Ho (0.5188, 0.0294, 0.7983)
Ho (0.5188, 0.2206, 0.9894)
Ho (0.5568, 0.4995, 0.5573)
Ho (0.7896, 0.5669, 0.3565)
Ho (0.7896, 0.9331, 0.7227)
Ho (0.9422, 0.9995, 0.4427)
Bi (0.6723, 0.1115, 0.3672)
Bi (0.6723, 0.8051, 0.0608)
Bi (0.7443, 0.3051, 0.6328)
Bi (0.7443, 0.6115, 0.9392)
Pb (0.0258, 0.3112, 0.2146)
Pb (0.0967, 0.8112, 0.7854)
Pb (0.2705, 0.2705, 0.0000)
Pb (0.2705, 0.7705, 0.5000)